Entry 1:
# Ca3Co2O6
Calculated X-ray powder pattern, Cu Kα. Input: a DFT-relaxed cell (PBE+U, Alexandria).
Kinematic intensities with the Lorentz-polarization factor, no thermal factor.

Structural model:
```
Ca3Co2O6
1.0
4.4010 -4.5749 0.0000
4.4010 4.5749 0.0000
-0.3025 0.0000 6.2871
Ca Co O
6 4 12
direct
0.1082 0.8918 0.7500 Ca
0.2417 0.3794 0.6226 Ca
0.3794 0.2417 0.1226 Ca
0.6206 0.7583 0.8774 Ca
0.7583 0.6206 0.3774 Ca
0.8918 0.1082 0.2500 Ca
0.0000 0.5000 0.0000 Co
0.2718 0.7282 0.2500 Co
0.5000 0.0000 0.5000 Co
0.7282 0.2718 0.7500 Co
0.0571 0.2129 0.9172 O
0.0984 0.4749 0.2896 O
0.2129 0.0571 0.4172 O
0.2868 0.6029 0.9640 O
0.3971 0.7132 0.5360 O
0.4749 0.0984 0.7896 O
0.5251 0.9016 0.2104 O
0.6029 0.2868 0.4640 O
0.7132 0.3971 0.0360 O
0.7871 0.9429 0.5828 O
0.9016 0.5251 0.7104 O
0.9429 0.7871 0.0828 O
```

Top 8 peaks for 2θ = 5–70°, most intense first:
d [Å], I/Imax
2.635, 100
4.543, 72
2.196, 51
2.792, 47
1.982, 46
2.617, 46
4.575, 32
1.970, 28


Entry 2:
# CaCo4O9
Calculated X-ray powder pattern, Cu Kα. Input: a DFT-relaxed cell (PBE+U, Alexandria).
Kinematic intensities with the Lorentz-polarization factor, no thermal factor.

Structural model:
```
CaCo4O9
1.0
8.2756 0.0000 0.0000
0.0000 8.2756 0.0000
0.0000 0.0000 5.1940
Ca Co O
2 8 18
direct
0.2500 0.2500 0.1348 Ca
0.7500 0.7500 0.8652 Ca
0.0362 0.6613 0.3934 Co
0.1613 0.9638 0.6066 Co
0.3387 0.5362 0.6066 Co
0.4638 0.8387 0.3934 Co
0.5362 0.1613 0.6066 Co
0.6613 0.4638 0.3934 Co
0.8387 0.0362 0.3934 Co
0.9638 0.3387 0.6066 Co
0.0057 0.3222 0.9172 O
0.0400 0.1446 0.4502 O
0.1446 0.4600 0.4502 O
0.1778 0.0057 0.9172 O
0.2500 0.7500 0.5000 O
0.3222 0.4943 0.9172 O
0.3554 0.0400 0.4502 O
0.4600 0.3554 0.4502 O
0.4943 0.1778 0.9172 O
0.5057 0.8222 0.0828 O
0.5400 0.6446 0.5498 O
0.6446 0.9600 0.5498 O
0.6778 0.5057 0.0828 O
0.7500 0.2500 0.5000 O
0.8222 0.9943 0.0828 O
0.8554 0.5400 0.5498 O
0.9600 0.8554 0.5498 O
0.9943 0.6778 0.0828 O
```

Top 8 peaks for 2θ = 5–70°, most intense first:
d [Å], I/Imax
3.014, 100
5.194, 79
2.617, 53
1.850, 35
2.126, 26
1.568, 24
3.885, 23
1.743, 20


Entry 3:
# Ca2Co2O5
Calculated X-ray powder pattern, Cu Kα. Input: a DFT-relaxed cell (PBE+U, Alexandria).
Kinematic intensities with the Lorentz-polarization factor, no thermal factor.

Structural model:
```
Ca2Co2O5
1.0
5.3711 0.0000 0.0000
0.0000 5.2178 0.0000
-0.0143 0.0000 7.9255
Ca Co O
4 4 10
direct
0.2066 0.0000 0.2508 Ca
0.2883 0.0579 0.7519 Ca
0.7117 0.5579 0.2481 Ca
0.7934 0.5000 0.7492 Ca
0.2478 0.5311 0.5182 Co
0.2476 0.5341 0.9816 Co
0.7522 0.0311 0.4818 Co
0.7524 0.0341 0.0184 Co
0.0311 0.2350 0.5493 O
0.0316 0.2379 0.9522 O
0.2275 0.6247 0.7497 O
0.4639 0.7985 0.0535 O
0.4652 0.7933 0.4447 O
0.5348 0.2933 0.5553 O
0.5361 0.2985 0.9465 O
0.7725 0.1247 0.2503 O
0.9684 0.7379 0.0478 O
0.9689 0.7350 0.4507 O
```

Top 8 peaks for 2θ = 5–70°, most intense first:
d [Å], I/Imax
2.721, 100
1.871, 28
1.527, 17
2.686, 16
2.609, 15
1.557, 14
1.981, 14
1.360, 11


Entry 4:
# CaCoP2O7
Calculated X-ray powder pattern, Cu Kα. Input: a DFT-relaxed cell (PBE+U, Alexandria).
Kinematic intensities with the Lorentz-polarization factor, no thermal factor.

Structural model:
```
CaCoP2O7
1.0
6.3637 0.0000 0.0000
-2.4681 6.1008 0.0000
-0.0097 -0.8233 6.9266
Ca Co P O
2 2 4 14
direct
0.2053 0.2360 0.3859 Ca
0.7947 0.7640 0.6141 Ca
0.2561 0.6331 0.8069 Co
0.7439 0.3669 0.1931 Co
0.2533 0.7213 0.3674 P
0.3366 0.1593 0.8790 P
0.6634 0.8407 0.1210 P
0.7467 0.2787 0.6326 P
0.0864 0.5059 0.2552 O
0.1470 0.8818 0.4467 O
0.1744 0.9170 0.8576 O
0.2605 0.3096 0.7695 O
0.3791 0.6538 0.5244 O
0.4148 0.2528 0.0913 O
0.4322 0.8490 0.2194 O
0.5678 0.1510 0.7806 O
0.5852 0.7472 0.9087 O
0.6209 0.3462 0.4756 O
0.7395 0.6904 0.2305 O
0.8256 0.0830 0.1424 O
0.8530 0.1182 0.5533 O
0.9136 0.4941 0.7448 O
```

Top 8 peaks for 2θ = 5–70°, most intense first:
d [Å], I/Imax
3.049, 100
2.947, 55
2.928, 53
3.236, 41
4.593, 31
3.029, 30
2.056, 18
2.662, 18


Entry 5:
# CaCoPtO4
Calculated X-ray powder pattern, Cu Kα. Input: a DFT-relaxed cell (PBE+U, Alexandria).
Kinematic intensities with the Lorentz-polarization factor, no thermal factor.

Structural model:
```
CaCoPtO4
1.0
-3.3008 3.4870 3.7316
3.3008 -3.4870 3.7316
3.3008 3.4870 -3.7316
Ca Co Pt O
2 2 2 8
direct
0.4059 0.1559 0.2500 Ca
0.5941 0.8441 0.7500 Ca
0.0000 0.5000 0.5000 Co
0.5000 0.5000 0.0000 Co
0.0000 0.0000 0.5000 Pt
0.0000 0.5000 0.0000 Pt
0.1573 0.2291 0.9281 O
0.1990 0.7709 0.4281 O
0.2730 0.3251 0.5521 O
0.2730 0.7209 0.9479 O
0.7270 0.2791 0.0521 O
0.7270 0.6749 0.4479 O
0.8010 0.2291 0.5719 O
0.8427 0.7709 0.0719 O
```

Top 8 peaks for 2θ = 5–70°, most intense first:
d [Å], I/Imax
5.096, 100
2.770, 71
2.397, 37
1.842, 32
2.548, 31
2.343, 27
3.487, 26
1.472, 23


Entry 6:
# Ca3Co2Rh2O12
Calculated X-ray powder pattern, Cu Kα. Input: a DFT-relaxed cell (PBE+U, Alexandria).
Kinematic intensities with the Lorentz-polarization factor, no thermal factor.

Structural model:
```
Ca3Co2Rh2O12
1.0
6.4208 0.0000 0.0000
1.6835 6.3962 0.0000
0.2276 -0.0463 6.7706
Ca Co Rh O
3 2 2 12
direct
0.0000 0.0000 0.0000 Ca
0.2605 0.6081 0.5862 Ca
0.5228 0.3310 0.1955 Ca
0.0900 0.4240 0.0381 Co
0.7108 0.0183 0.5490 Co
0.3615 0.1603 0.7966 Rh
0.8122 0.6796 0.2804 Rh
0.0424 0.3047 0.8089 O
0.1466 0.5825 0.2584 O
0.2784 0.1524 0.0834 O
0.2850 0.9132 0.7380 O
0.3458 0.4553 0.8955 O
0.4701 0.2397 0.5269 O
0.5407 0.6584 0.3476 O
0.6843 0.0678 0.8131 O
0.7697 0.9940 0.2825 O
0.8760 0.3686 0.2018 O
0.8799 0.7503 0.5549 O
0.8842 0.6853 0.0071 O
```

Top 8 peaks for 2θ = 5–70°, most intense first:
d [Å], I/Imax
4.660, 100
5.158, 44
2.878, 15
2.865, 10
2.133, 10
2.612, 9
2.098, 7
1.988, 7


Entry 7:
# CaCoS2O8
Calculated X-ray powder pattern, Cu Kα. Input: a DFT-relaxed cell (PBE+U, Alexandria).
Kinematic intensities with the Lorentz-polarization factor, no thermal factor.

Structural model:
```
CaCoS2O8
1.0
4.0806 -2.6417 0.0000
4.0806 2.6417 0.0000
-0.3003 0.0000 7.1560
Ca Co S O
1 1 2 8
direct
0.0000 0.0000 0.0000 Ca
0.0000 0.0000 0.5000 Co
0.3573 0.3573 0.7304 S
0.6427 0.6427 0.2696 S
0.2321 0.6965 0.7254 O
0.2435 0.2435 0.5658 O
0.2758 0.2758 0.9108 O
0.3035 0.7679 0.2746 O
0.6965 0.2321 0.7254 O
0.7242 0.7242 0.0892 O
0.7565 0.7565 0.4342 O
0.7679 0.3035 0.2746 O
```

Top 8 peaks for 2θ = 5–70°, most intense first:
d [Å], I/Imax
3.808, 100
2.816, 97
2.754, 74
2.417, 71
3.480, 54
2.641, 50
3.731, 40
4.077, 37


Entry 8:
# Sr4CaCo2S2O6
Calculated X-ray powder pattern, Cu Kα. Input: a DFT-relaxed cell (PBE+U, Alexandria).
Kinematic intensities with the Lorentz-polarization factor, no thermal factor.

Structural model:
```
Sr4CaCo2S2O6
1.0
3.9019 0.0000 0.0000
0.0000 3.9019 0.0000
0.0000 0.0000 16.8842
Sr Ca Co S O
4 1 2 2 6
direct
0.0000 0.5000 0.0818 Sr
0.0000 0.5000 0.2958 Sr
0.5000 0.0000 0.7042 Sr
0.5000 0.0000 0.9182 Sr
0.0000 0.0000 0.5000 Ca
0.0000 0.5000 0.8209 Co
0.5000 0.0000 0.1791 Co
0.0000 0.5000 0.6117 S
0.5000 0.0000 0.3883 S
0.0000 0.0000 0.1984 O
0.0000 0.0000 0.8016 O
0.0000 0.5000 0.9354 O
0.5000 0.0000 0.0646 O
0.5000 0.5000 0.1976 O
0.5000 0.5000 0.8024 O
```

Top 8 peaks for 2θ = 5–70°, most intense first:
d [Å], I/Imax
2.865, 100
16.884, 97
2.759, 54
1.951, 39
1.613, 35
2.282, 26
8.442, 22
2.553, 15


Entry 9:
# Sr3CaCo2S2O5
Calculated X-ray powder pattern, Cu Kα. Input: a DFT-relaxed cell (PBE+U, Alexandria).
Kinematic intensities with the Lorentz-polarization factor, no thermal factor.

Structural model:
```
Sr3CaCo2S2O5
1.0
-1.9570 1.9570 14.4594
1.9570 -1.9570 14.4594
1.9570 1.9570 -14.4594
Sr Ca Co S O
3 1 2 2 5
direct
0.0000 0.0000 0.0000 Sr
0.1311 0.1311 0.0000 Sr
0.8689 0.8689 0.0000 Sr
0.2500 0.7500 0.5000 Ca
0.4341 0.4341 0.0000 Co
0.5659 0.5659 0.0000 Co
0.3150 0.3150 0.0000 S
0.6850 0.6850 0.0000 S
0.0754 0.5754 0.5000 O
0.4246 0.9246 0.5000 O
0.5000 0.5000 0.0000 O
0.5753 0.0753 0.5000 O
0.9247 0.4247 0.5000 O
```

Top 8 peaks for 2θ = 5–70°, most intense first:
d [Å], I/Imax
14.459, 100
2.841, 83
2.768, 38
2.483, 35
1.957, 33
1.612, 29
2.400, 15
1.537, 15


Entry 10:
# CaCo5SbO8
Calculated X-ray powder pattern, Cu Kα. Input: a DFT-relaxed cell (PBE+U, Alexandria).
Kinematic intensities with the Lorentz-polarization factor, no thermal factor.

Structural model:
```
CaCo5SbO8
1.0
5.4074 -3.1878 0.0000
5.4074 3.1878 0.0000
-3.4022 0.0000 5.0586
Ca Co Sb O
1 5 1 8
direct
0.0000 0.0000 0.0000 Ca
0.9999 0.4995 0.5005 Co
0.4995 0.9999 0.5005 Co
0.4997 0.4997 0.5004 Co
0.5011 0.9991 0.0009 Co
0.9991 0.5011 0.0009 Co
0.4997 0.4997 0.0005 Sb
0.2604 0.2604 0.2689 O
0.2739 0.2739 0.7742 O
0.2799 0.7167 0.7615 O
0.2825 0.7201 0.2395 O
0.7167 0.2799 0.7615 O
0.7201 0.2825 0.2395 O
0.7256 0.7256 0.2273 O
0.7392 0.7392 0.7320 O
```

Top 8 peaks for 2θ = 5–70°, most intense first:
d [Å], I/Imax
2.203, 100
5.197, 70
2.599, 56
2.243, 53
1.576, 30
1.568, 30
2.529, 25
2.513, 25


Entry 11:
# Ca5Sc2Co2O12
Calculated X-ray powder pattern, Cu Kα. Input: a DFT-relaxed cell (PBE+U, Alexandria).
Kinematic intensities with the Lorentz-polarization factor, no thermal factor.

Structural model:
```
Ca5Sc2Co2O12
1.0
6.4626 0.0000 0.0000
0.5071 8.8007 0.0000
0.1951 0.0721 9.3971
Ca Sc Co O
10 4 4 24
direct
0.0000 0.0000 0.0000 Ca
0.0015 0.4930 0.4997 Ca
0.1297 0.3252 0.1831 Ca
0.1413 0.8276 0.6762 Ca
0.4935 0.0086 0.1321 Ca
0.5006 0.5013 0.6287 Ca
0.6153 0.3285 0.9470 Ca
0.6258 0.8230 0.4476 Ca
0.7728 0.6391 0.1277 Ca
0.7762 0.1320 0.6221 Ca
0.1233 0.3201 0.8160 Sc
0.1287 0.8213 0.3136 Sc
0.6267 0.8192 0.8175 Sc
0.6281 0.3194 0.3185 Sc
0.3794 0.5741 0.3102 Co
0.3831 0.0745 0.8099 Co
0.8821 0.0693 0.3097 Co
0.8878 0.5756 0.8138 Co
0.0817 0.5933 0.2585 O
0.0917 0.0868 0.7646 O
0.1570 0.0423 0.2313 O
0.1601 0.5430 0.7367 O
0.2856 0.2122 0.9886 O
0.2915 0.6966 0.4801 O
0.3349 0.3928 0.4084 O
0.3423 0.9007 0.9180 O
0.4264 0.2592 0.7248 O
0.4370 0.7624 0.2288 O
0.4891 0.9326 0.6512 O
0.4935 0.4518 0.1575 O
0.6006 0.5861 0.8623 O
0.6052 0.0871 0.3724 O
0.6656 0.0553 0.8786 O
0.6741 0.5438 0.3960 O
0.7905 0.1916 0.1486 O
0.8089 0.6931 0.6509 O
0.8360 0.8818 0.2135 O
0.8411 0.3670 0.7039 O
0.9065 0.7714 0.9155 O
0.9157 0.2578 0.4014 O
0.9428 0.4441 0.9727 O
0.9550 0.9401 0.4721 O
```

Top 8 peaks for 2θ = 5–70°, most intense first:
d [Å], I/Imax
4.696, 100
2.678, 50
2.729, 50
2.676, 50
2.007, 45
4.608, 39
4.481, 32
2.219, 19